1.
Diffraction record for TaSbF8. The powder diffractogram is calculated, not measured: it uses a structure optimized by DFT (GGA-PBE) and Cu Kα (weighted mean of Kα1 and Kα2).
Lines closer than 0.1° are merged.

Structural model:
```
TaSbF8
1.0
5.1052 0.0000 0.0000
0.0000 7.0774 0.0000
-0.7646 0.0000 6.7144
Ta Sb F
2 2 16
Direct
0.0176 0.2500 0.2952
0.9824 0.7500 0.7048
0.4084 0.7500 0.2271
0.5916 0.2500 0.7729
0.0371 0.7500 0.4243
0.0804 0.7500 0.9992
0.2010 0.0185 0.2074
0.2010 0.4815 0.2074
0.2502 0.5575 0.7072
0.2502 0.9425 0.7072
0.3685 0.2500 0.4383
0.4225 0.2500 0.0133
0.5775 0.7500 0.9867
0.6315 0.7500 0.5617
0.7498 0.0575 0.2928
0.7498 0.4425 0.2928
0.7990 0.5185 0.7926
0.7990 0.9815 0.7926
0.9196 0.2500 0.0008
0.9629 0.2500 0.5757
```

The 6 most intense peaks (2θ from 10° to 90°), sorted by position:
d (Å), 2θ/deg, I/Imax
3.667, 24.3, 100
3.539, 25.2, 58
3.378, 26.4, 59
3.357, 26.6, 38
2.067, 43.8, 23
2.061, 43.9, 27


2.
Diffraction record for Pr2NdRe2N6. The powder diffractogram is calculated, not measured: it uses a structure optimized by DFT (GGA-PBE) and Cu Kα (weighted mean of Kα1 and Kα2).
Lines closer than 0.1° are merged.

Structural model:
```
Pr2NdRe2N6
1.0
-1.9622 1.9622 9.8464
1.9622 -1.9622 9.8464
1.9622 1.9622 -9.8464
Pr Nd Re N
2 1 2 6
Direct
0.1851 0.1851 0.0000
0.8149 0.8149 0.0000
0.0000 0.0000 0.0000
0.4097 0.4097 0.0000
0.5903 0.5903 0.0000
0.0866 0.5866 0.5000
0.3038 0.3038 0.0000
0.4134 0.9134 0.5000
0.5866 0.0866 0.5000
0.6962 0.6962 0.0000
0.9134 0.4134 0.5000
```

The 6 most intense peaks (2θ from 10° to 90°), sorted by position:
d (Å), 2θ/deg, I/Imax
2.778, 32.2, 100
2.286, 39.4, 8
1.962, 46.3, 17
1.606, 57.4, 9
1.603, 57.5, 25
1.241, 76.8, 12